Starting from a PBE-relaxed structure, the X-ray powder pattern of La3Dy2Pb3 was simulated for Cu Kα, 1.54184 Å.
Kinematic intensities with the Lorentz-polarization factor, no thermal factor.

Crystal structure
```
data_La3Dy2Pb3
_chemical_formula_sum 'La6 Dy4 Pb6'
_cell_length_a 9.4222
_cell_length_b 9.4222
_cell_length_c 6.8154
_cell_angle_alpha 90.00
_cell_angle_beta 90.00
_cell_angle_gamma 120.00
_space_group_name_H-M_alt 'P 63/m c m'
_space_group_IT_number 193
_space_group_name_Hall '-P 6c 2'
loop_
_atom_site_label
_atom_site_fract_x
_atom_site_fract_y
_atom_site_fract_z
La1 0.0000 0.2433 0.2500
Dy1 0.3333 0.6667 0.0000
Pb1 0.0000 0.3978 0.7500
```

Principal peaks in the range 2θ = 10–90°, in order of rising 2θ:
| 2θ/deg | Rel. int. | h k l |
| --- | --- | --- |
| 10.84 | 17 | 1 0 0 |
| 26.15 | 22 | 0 0 2 |
| 28.95 | 25 | 2 1 0 |
| 31.85 | 100 | 2 1 1 |
| 32.43 | 81 | 1 1 2 |
| 32.93 | 45 | 3 0 0 |
| 42.07 | 25 | 3 1 1 |
| 49.85 | 29 | 2 1 3 |
| 63.17 | 22 | 5 0 2 |
| 64.53 | 16 | 3 0 4 |